Structure and computed XRD peak list of Ca10V6O25 (the GGA+U geometry in Alexandria; CuKα).
Lines closer than 0.1° are merged.

Cell and atoms:
```
Ca10V6O25
1.0
10.1224 0.0000 0.0000
-5.0612 8.7662 0.0000
0.0000 0.0000 6.7302
Ca V O
10 6 25
Direct
0.0268 0.7775 0.2278
0.2225 0.2493 0.2278
0.2493 0.0268 0.7722
0.3333 0.6667 0.0152
0.3333 0.6667 0.5201
0.6667 0.3333 0.4799
0.6667 0.3333 0.9848
0.7507 0.9732 0.2278
0.7775 0.7507 0.7722
0.9732 0.2225 0.7722
0.0274 0.4065 0.2583
0.3791 0.9726 0.2583
0.4065 0.3791 0.7417
0.5935 0.6209 0.2583
0.6209 0.0274 0.7417
0.9726 0.5935 0.7417
0.0000 0.0000 0.0000
0.0663 0.3106 0.4435
0.0982 0.3633 0.0475
0.1363 0.6065 0.2822
0.1635 0.6547 0.7625
0.2442 0.9337 0.4435
0.2651 0.9018 0.0475
0.3106 0.2442 0.5565
0.3453 0.5088 0.7625
0.3633 0.2651 0.9525
0.3935 0.5298 0.2822
0.4702 0.8637 0.2822
0.4912 0.8365 0.7625
0.5088 0.1635 0.2375
0.5298 0.1363 0.7178
0.6065 0.4702 0.7178
0.6367 0.7349 0.0475
0.6547 0.4912 0.2375
0.6894 0.7558 0.4435
0.7349 0.0982 0.9525
0.7558 0.0663 0.5565
0.8365 0.3453 0.2375
0.8637 0.3935 0.7178
0.9018 0.6367 0.9525
0.9337 0.6894 0.5565
```

Principal peaks in the range 2θ from 15° to 90°, sorted by position:
Position (°2θ)	d [Å]	intensity	(hkl)
21.97	4.045	20	2 -1 1
26.49	3.365	21	0 0 2
30.06	2.973	100	2 1 1
30.59	2.922	40	3 0 0
31.94	2.802	42	1 1 2
44.81	2.023	26	4 -2 2
49.04	1.858	29	3 -1 3
53.05	1.726	21	3 2 2